This entry pairs a crystal structure of NbGe2BiMo with its theoretical PXRD pattern. Radiation: Cu Kα X-rays. Structure: the GGA-PBE geometry in Alexandria.
Kinematic intensities with the Lorentz-polarization factor, no thermal factor.

The 10 most intense peaks (2θ from 5° to 70°), in order of falling intensity:
index, two_theta, I (rel.)
2 0 0, 34.0, 100
1 0 0, 16.8, 77
2 0 2, 49.4, 69
1 0 1, 24.1, 64
1 1 0, 23.9, 50
0 0 2, 34.8, 47
2 2 2, 61.4, 36
2 2 0, 48.8, 36
2 1 1, 42.1, 31
1 1 2, 42.6, 22

Crystal structure
Cell: 5.275 5.275 5.155 Å, 90.00 90.00 90.00°
Fractional coordinates of all 5 atoms:
Nb  0.000  0.000  0.000
Ge  0.000  0.500  0.500
Ge  0.500  0.000  0.500
Bi  0.500  0.500  0.500
Mo  0.500  0.500  0.000